# 1
Dy4TmLu2Ni2Te2: computed powder diffractogram (a wavelength of 1.5418 Å), based on a structure optimized by DFT (PBE).
Neutral-atom scattering factors, no anomalous dispersion.

Atomic structure:
a b c (Å): 9.2873 9.2873 9.2873
angles (deg): 156.23 66.93 118.47
Element x y z (fractional)
1 Dy 0.1456 0.0000 0.1456
2 Dy 0.4635 0.6478 0.8157
3 Dy 0.8320 0.6478 0.1843
4 Dy 0.8544 0.0000 0.8544
5 Tm 0.7699 0.2699 0.5000
6 Lu 0.2183 0.8526 0.3657
7 Lu 0.4870 0.8526 0.6343
8 Ni 0.0793 0.3406 0.7387
9 Ni 0.6019 0.3406 0.2613
10 Te 0.1121 0.6121 0.5000
11 Te 0.5015 0.5015 0.0000

Main lines, in order of rising 2θ (15 to 90 degrees two-theta):
29.0 deg, I = 19; 30.3 deg, I = 20; 30.6 deg, I = 52; 33.2 deg, I = 80; 34.3 deg, I = 100; 34.8 deg, I = 75; 36.8 deg, I = 21; 38.7 deg, I = 15; 47.5 deg, I = 29; 51.4 deg, I = 18; 59.2 deg, I = 30; 65.7 deg, I = 18

# 2
Er5SiTe5: computed powder diffractogram (a wavelength of 1.5418 Å), based on a structure optimized by DFT (PBE).
Neutral-atom scattering factors, no anomalous dispersion.

Atomic structure:
a b c (Å): 7.4293 7.4293 8.5366
angles (deg): 107.10 107.10 48.05
Element x y z (fractional)
1 Er 0.0000 0.0000 0.0000
2 Er 0.3445 0.3445 0.1580
3 Er 0.3453 0.3453 0.6848
4 Er 0.6547 0.6547 0.3152
5 Er 0.6555 0.6555 0.8420
6 Si 0.5000 0.5000 0.0000
7 Te 0.1642 0.1642 0.8251
8 Te 0.1728 0.1728 0.3360
9 Te 0.5000 0.5000 0.5000
10 Te 0.8272 0.8272 0.6640
11 Te 0.8358 0.8358 0.1749

Main lines, in order of rising 2θ (15 to 90 degrees two-theta):
29.4 deg, I = 90; 29.5 deg, I = 93; 29.7 deg, I = 88; 42.2 deg, I = 100; 42.4 deg, I = 100; 52.3 deg, I = 34; 52.5 deg, I = 35; 69.3 deg, I = 21; 69.4 deg, I = 22; 69.6 deg, I = 22; 69.8 deg, I = 21; 77.2 deg, I = 21

# 3
Cu7Ag3: computed powder diffractogram (a wavelength of 1.5418 Å), based on a structure optimized by DFT (PBE).
Neutral-atom scattering factors, no anomalous dispersion.

Atomic structure:
a b c (Å): 2.7863 3.3980 14.4714
angles (deg): 90.00 90.00 90.00
Element x y z (fractional)
1 Cu 0.0000 0.0000 0.0000
2 Cu 0.0000 0.0000 0.1748
3 Cu 0.0000 0.0000 0.3900
4 Cu 0.0000 0.0000 0.5659
5 Cu 0.5000 0.5000 0.0873
6 Cu 0.5000 0.5000 0.4766
7 Cu 0.5000 0.5000 0.6525
8 Ag 0.0000 0.0000 0.7612
9 Ag 0.5000 0.5000 0.2824
10 Ag 0.5000 0.5000 0.8910

Main lines, in order of rising 2θ (15 to 90 degrees two-theta):
32.2 deg, I = 14; 37.3 deg, I = 11; 41.0 deg, I = 92; 41.9 deg, I = 100; 45.2 deg, I = 66; 54.0 deg, I = 23; 64.4 deg, I = 6; 67.2 deg, I = 11; 67.6 deg, I = 7; 72.9 deg, I = 29; 79.8 deg, I = 12; 81.8 deg, I = 21

# 4
Y2Ho2BrNCl4: computed powder diffractogram (a wavelength of 1.5418 Å), based on a structure optimized by DFT (PBE).
Neutral-atom scattering factors, no anomalous dispersion.

Atomic structure:
a b c (Å): 8.5681 8.5681 7.9914
angles (deg): 103.60 103.60 24.76
Element x y z (fractional)
1 Y 0.0009 0.0009 0.3002
2 Y 0.9991 0.9991 0.6998
3 Ho 0.3574 0.3574 0.4249
4 Ho 0.6426 0.6426 0.5751
5 Br 0.5000 0.5000 0.0000
6 N 0.5000 0.5000 0.5000
7 Cl 0.1657 0.1657 0.8297
8 Cl 0.1720 0.1720 0.3410
9 Cl 0.8280 0.8280 0.6590
10 Cl 0.8343 0.8343 0.1703

Main lines, in order of rising 2θ (15 to 90 degrees two-theta):
17.6 deg, I = 13; 22.1 deg, I = 17; 29.4 deg, I = 8; 30.1 deg, I = 15; 33.1 deg, I = 100; 36.7 deg, I = 9; 39.0 deg, I = 10; 42.0 deg, I = 8; 45.4 deg, I = 10; 47.5 deg, I = 26; 49.6 deg, I = 10; 60.9 deg, I = 9

# 5
Ba5Re3O16: computed powder diffractogram (a wavelength of 1.5418 Å), based on a structure optimized by DFT (PBE).
Neutral-atom scattering factors, no anomalous dispersion.

Atomic structure:
a b c (Å): 10.7857 10.7857 7.8173
angles (deg): 90.00 90.00 60.48
Element x y z (fractional)
1 Ba 0.1665 0.1678 0.2614
2 Ba 0.1678 0.1665 0.7614
3 Ba 0.2436 0.7564 0.5000
4 Ba 0.2456 0.5025 0.0009
5 Ba 0.4975 0.7544 0.0009
6 Ba 0.5025 0.2456 0.5009
7 Ba 0.7544 0.4975 0.5009
8 Ba 0.7564 0.2436 0.0000
9 Ba 0.8322 0.8335 0.2614
10 Ba 0.8335 0.8322 0.7614
11 Re 0.1096 0.8904 0.0536
12 Re 0.1112 0.4998 0.5542
13 Re 0.4998 0.1112 0.0542
14 Re 0.5002 0.8888 0.5542
15 Re 0.8888 0.5002 0.0542
16 Re 0.8904 0.1096 0.5536
17 O 0.0533 0.3666 0.5154
18 O 0.0539 0.0800 0.0141
19 O 0.0782 0.3682 0.0123
20 O 0.0800 0.0539 0.5141
21 O 0.1124 0.7528 0.1970
22 O 0.1129 0.6340 0.6994
23 O 0.2081 0.7919 0.8743
24 O 0.2115 0.5007 0.3757
25 O 0.2472 0.8876 0.1970
26 O 0.2493 0.3660 0.6965
27 O 0.3660 0.2493 0.1965
28 O 0.3660 0.8871 0.6994
29 O 0.3666 0.0533 0.0154
30 O 0.3682 0.0782 0.5123
31 O 0.4960 0.5040 0.4659
32 O 0.4993 0.7885 0.3757
33 O 0.5007 0.2115 0.8757
34 O 0.5040 0.4960 0.9659
35 O 0.6318 0.9218 0.0123
36 O 0.6334 0.9467 0.5154
37 O 0.6340 0.1129 0.1994
38 O 0.6340 0.7507 0.6965
39 O 0.7507 0.6340 0.1965
40 O 0.7528 0.1124 0.6970
41 O 0.7885 0.4993 0.8757
42 O 0.7919 0.2081 0.3743
43 O 0.8871 0.3660 0.1994
44 O 0.8876 0.2472 0.6970
45 O 0.9200 0.9461 0.0141
46 O 0.9218 0.6318 0.5123
47 O 0.9461 0.9200 0.5141
48 O 0.9467 0.6334 0.0154

Main lines, in order of rising 2θ (15 to 90 degrees two-theta):
20.0 deg, I = 33; 22.8 deg, I = 40; 27.6 deg, I = 43; 27.7 deg, I = 87; 28.2 deg, I = 100; 28.5 deg, I = 60; 28.7 deg, I = 29; 29.8 deg, I = 28; 40.7 deg, I = 19; 43.1 deg, I = 23; 48.5 deg, I = 16; 54.2 deg, I = 18

# 6
Al2ZnCoCu4: computed powder diffractogram (a wavelength of 1.5418 Å), based on a structure optimized by DFT (PBE).
Neutral-atom scattering factors, no anomalous dispersion.

Atomic structure:
a b c (Å): 7.1639 7.1639 7.1639
angles (deg): 132.29 132.29 69.78
Element x y z (fractional)
1 Al 0.1216 0.3716 0.7500
2 Al 0.3716 0.1216 0.2500
3 Al 0.6284 0.8784 0.7500
4 Al 0.8784 0.6284 0.2500
5 Zn 0.3750 0.6250 0.7500
6 Zn 0.6250 0.3750 0.2500
7 Co 0.1250 0.8750 0.2500
8 Co 0.8750 0.1250 0.7500
9 Cu 0.0000 0.2488 0.2488
10 Cu 0.0000 0.7512 0.7512
11 Cu 0.2488 0.0000 0.7488
12 Cu 0.2488 0.5000 0.2488
13 Cu 0.5000 0.2488 0.7488
14 Cu 0.5000 0.7512 0.2512
15 Cu 0.7512 0.0000 0.2512
16 Cu 0.7512 0.5000 0.7512

Main lines, in order of rising 2θ (15 to 90 degrees two-theta):
26.5 deg, I = 12; 30.4 deg, I = 3; 30.9 deg, I = 5; 43.9 deg, I = 100; 44.2 deg, I = 49; 51.7 deg, I = 2; 52.3 deg, I = 3; 54.6 deg, I = 2; 63.3 deg, I = 8; 64.3 deg, I = 15; 80.4 deg, I = 15; 81.1 deg, I = 29

# 7
Na9Pt2: computed powder diffractogram (a wavelength of 1.5418 Å), based on a structure optimized by DFT (PBE).
Neutral-atom scattering factors, no anomalous dispersion.

Atomic structure:
a b c (Å): 12.8663 12.8663 12.8663
angles (deg): 132.90 132.90 68.81
Element x y z (fractional)
1 Na 0.0000 0.3292 0.3292
2 Na 0.0000 0.6708 0.6708
3 Na 0.0635 0.1355 0.5720
4 Na 0.0635 0.4915 0.9280
5 Na 0.0991 0.1911 0.9080
6 Na 0.1355 0.0635 0.0720
7 Na 0.1842 0.6484 0.5358
8 Na 0.1881 0.4381 0.7500
9 Na 0.1911 0.0991 0.4080
10 Na 0.1911 0.7832 0.0920
11 Na 0.2168 0.8089 0.4080
12 Na 0.3292 0.0000 0.8292
13 Na 0.3292 0.5000 0.3292
14 Na 0.3516 0.3874 0.5358
15 Na 0.3516 0.8158 0.9642
16 Na 0.3874 0.3516 0.0358
17 Na 0.4381 0.1881 0.2500
18 Na 0.4915 0.0635 0.4280
19 Na 0.5000 0.3292 0.8292
20 Na 0.5000 0.6708 0.1708
21 Na 0.5085 0.9365 0.5720
22 Na 0.5619 0.8119 0.7500
23 Na 0.6126 0.6484 0.9642
24 Na 0.6484 0.1842 0.0358
25 Na 0.6484 0.6126 0.4642
26 Na 0.6708 0.0000 0.1708
27 Na 0.6708 0.5000 0.6708
28 Na 0.7832 0.1911 0.5920
29 Na 0.8089 0.2168 0.9080
30 Na 0.8089 0.9009 0.5920
31 Na 0.8119 0.5619 0.2500
32 Na 0.8158 0.3516 0.4642
33 Na 0.8645 0.9365 0.9280
34 Na 0.9009 0.8089 0.0920
35 Na 0.9365 0.5085 0.0720
36 Na 0.9365 0.8645 0.4280
37 Pt 0.1077 0.3577 0.2155
38 Pt 0.1077 0.8923 0.7500
39 Pt 0.3577 0.1077 0.7155
40 Pt 0.3577 0.6423 0.2500
41 Pt 0.6423 0.3577 0.7500
42 Pt 0.6423 0.8923 0.2845
43 Pt 0.8923 0.1077 0.2500
44 Pt 0.8923 0.6423 0.7845

Main lines, in order of rising 2θ (15 to 90 degrees two-theta):
16.7 deg, I = 57; 17.2 deg, I = 100; 24.1 deg, I = 79; 24.5 deg, I = 35; 29.8 deg, I = 38; 33.9 deg, I = 20; 34.9 deg, I = 28; 38.2 deg, I = 46; 38.9 deg, I = 27; 39.2 deg, I = 28; 42.2 deg, I = 26; 42.9 deg, I = 36

# 8
Al2Mo5W: computed powder diffractogram (a wavelength of 1.5418 Å), based on a structure optimized by DFT (PBE).
Neutral-atom scattering factors, no anomalous dispersion.

Atomic structure:
a b c (Å): 4.9689 4.9689 5.0024
angles (deg): 90.00 90.00 90.00
Element x y z (fractional)
1 Al 0.0000 0.5000 0.2496
2 Al 0.5000 0.0000 0.7504
3 Mo 0.0000 0.0000 0.0000
4 Mo 0.2499 0.5000 0.7493
5 Mo 0.5000 0.2499 0.2507
6 Mo 0.5000 0.7501 0.2507
7 Mo 0.7501 0.5000 0.7493
8 W 0.0000 0.0000 0.5000

Main lines, in order of rising 2θ (15 to 90 degrees two-theta):
25.3 deg, I = 47; 36.2 deg, I = 20; 40.4 deg, I = 59; 40.6 deg, I = 100; 44.5 deg, I = 22; 44.6 deg, I = 27; 64.9 deg, I = 24; 67.7 deg, I = 9; 67.9 deg, I = 13; 68.0 deg, I = 12; 70.8 deg, I = 11; 76.7 deg, I = 10